The following is a computed powder X-ray diffraction pattern of NaTaO3. It was derived from a crystal structure in the Materials Project, relaxed with GGA-PBE, using Cu Ka.
Lines closer than 0.1° are merged.

Principal peaks in the range 5° ≤ 2θ ≤ 70°, by angle:
index	2θ/deg	d [Å]	I (rel.)
0 0 1	22.28	3.991	54
1 1 0	22.66	3.924	100
1 1 1	31.99	2.798	100
2 0 0	32.26	2.775	54
2 0 1	39.56	2.278	21
2 2 0	46.27	1.962	31
1 1 2	51.37	1.779	22
3 1 0	52.12	1.755	24
2 0 2	56.83	1.620	22
3 1 1	57.36	1.606	43

Cell and atoms:
```
data_NaTaO3
_chemical_formula_sum 'Na2 Ta2 O6'
_symmetry_space_group_name_H-M 'P 1'
_symmetry_Int_Tables_number 1
_symmetry_space_group_name_Hall 'P 1'
_cell_length_a 5.5497
_cell_length_b 5.5497
_cell_length_c 3.9905
_cell_angle_alpha 90.00
_cell_angle_beta 90.00
_cell_angle_gamma 90.00
loop_
_atom_site_label
_atom_site_type_symbol
_atom_site_fract_x
_atom_site_fract_y
_atom_site_fract_z
Na1 Na 0.0000 0.5000 0.0000
Na2 Na 0.5000 0.0000 0.0000
Ta1 Ta 0.0000 0.0000 0.5000
Ta2 Ta 0.5000 0.5000 0.5000
O1 O 0.0000 0.0000 0.0000
O2 O 0.2026 0.2974 0.5000
O3 O 0.2974 0.7974 0.5000
O4 O 0.5000 0.5000 0.0000
O5 O 0.7026 0.2026 0.5000
O6 O 0.7974 0.7026 0.5000
```